[1]
Simulated powder XRD pattern
Compound: Cs2CrS2
Radiation: Cu Kα X-rays
Structure: a structure optimized by DFT (GGA-PBE)
Peak positions follow from Bragg's law for the DFT cell and can differ from measured ones.

Crystal structure
a b c (Å): 8.579 8.579 8.579
angles (deg): 129.70 69.61 135.20
Atoms (fractional coordinates):
Cs (0.148, 0.162, 0.311)
Cs (0.352, 0.662, 0.014)
Cs (0.648, 0.338, 0.986)
Cs (0.852, 0.838, 0.689)
Cr (0.250, 0.750, 0.500)
Cr (0.750, 0.250, 0.500)
S (0.095, 0.661, 0.756)
S (0.405, 0.161, 0.566)
S (0.595, 0.839, 0.434)
S (0.905, 0.339, 0.244)

Most intense lines, 2θ = 15–90°, by angle:
Position (°2θ)  I/Imax
22.20  95
22.52  58
25.29  32
27.28  44
28.75  100
31.35  43
34.02  25
37.54  62
42.86  34
50.68  33

[2]
Simulated powder XRD pattern
Compound: BeNi5
Radiation: Cu Kα X-rays
Structure: a structure optimized by DFT (GGA-PBE)
Peak positions follow from Bragg's law for the DFT cell and can differ from measured ones.

Crystal structure
a b c (Å): 3.453 7.348 4.896
angles (deg): 90.00 90.00 90.00
Atoms (fractional coordinates):
Be (0.250, 0.250, 0.126)
Be (0.750, 0.750, 0.874)
Ni (0.250, 0.250, 0.625)
Ni (0.250, 0.584, 0.122)
Ni (0.250, 0.586, 0.631)
Ni (0.250, 0.914, 0.631)
Ni (0.250, 0.916, 0.122)
Ni (0.750, 0.084, 0.878)
Ni (0.750, 0.086, 0.369)
Ni (0.750, 0.414, 0.369)
Ni (0.750, 0.416, 0.878)
Ni (0.750, 0.750, 0.375)

Most intense lines, 2θ = 15–90°, by angle:
Position (°2θ)  I/Imax
18.12  3
21.81  5
24.23  4
28.56  6
34.03  4
45.41  100
52.88  31
53.04  15
78.05  9
78.18  18

[3]
Simulated powder XRD pattern
Compound: FeReBr6
Radiation: Cu Kα X-rays
Structure: a structure optimized by DFT (GGA-PBE)
Peak positions follow from Bragg's law for the DFT cell and can differ from measured ones.

Crystal structure
a b c (Å): 8.399 8.399 9.830
angles (deg): 125.19 125.19 69.53
Atoms (fractional coordinates):
Fe (0.000, 0.500, 0.000)
Fe (0.500, 0.000, 0.000)
Re (0.000, 0.500, 0.500)
Re (0.500, 0.000, 0.500)
Br (0.125, 0.510, 0.808)
Br (0.177, 0.808, 0.683)
Br (0.192, 0.823, 0.317)
Br (0.300, 0.300, 0.106)
Br (0.312, 0.312, 0.483)
Br (0.490, 0.875, 0.192)
Br (0.510, 0.125, 0.808)
Br (0.688, 0.688, 0.517)
Br (0.700, 0.700, 0.894)
Br (0.808, 0.177, 0.683)
Br (0.823, 0.192, 0.317)
Br (0.875, 0.490, 0.192)

Most intense lines, 2θ = 15–90°, by angle:
Position (°2θ)  I/Imax
18.05  100
18.53  48
28.59  20
28.81  47
29.41  30
34.48  33
36.56  29
41.30  46
41.97  31
45.63  21

[4]
Simulated powder XRD pattern
Compound: Rb2TlIn4Ge3
Radiation: Cu Kα X-rays
Structure: a structure optimized by DFT (GGA-PBE)
Peak positions follow from Bragg's law for the DFT cell and can differ from measured ones.

Crystal structure
a b c (Å): 5.066 5.066 11.565
angles (deg): 90.00 90.00 90.00
Atoms (fractional coordinates):
Rb (0.000, 0.500, 0.246)
Rb (0.500, 0.000, 0.754)
Tl (0.000, 0.000, 0.500)
In (0.000, 0.000, 0.000)
In (0.000, 0.500, 0.638)
In (0.500, 0.000, 0.362)
In (0.500, 0.500, 0.000)
Ge (0.000, 0.500, 0.878)
Ge (0.500, 0.000, 0.122)
Ge (0.500, 0.500, 0.500)

Most intense lines, 2θ = 15–90°, by angle:
Position (°2θ)  I/Imax
15.32  21
29.11  36
29.33  100
35.44  67
40.08  42
42.99  17
46.49  19
50.99  23
59.92  26
66.76  18

[5]
Simulated powder XRD pattern
Compound: PdAu2N4Cl8
Radiation: Cu Kα X-rays
Structure: a structure optimized by DFT (GGA-PBE)
Peak positions follow from Bragg's law for the DFT cell and can differ from measured ones.

Crystal structure
a b c (Å): 7.184 8.291 9.054
angles (deg): 107.85 112.75 100.63
Atoms (fractional coordinates):
Pd (0.000, 0.000, 0.000)
Au (0.458, 0.711, 0.938)
Au (0.542, 0.289, 0.062)
N (0.144, 0.891, 0.143)
N (0.262, 0.147, 0.494)
N (0.738, 0.853, 0.506)
N (0.856, 0.109, 0.857)
Cl (0.162, 0.451, 0.771)
Cl (0.241, 0.018, 0.871)
Cl (0.316, 0.787, 0.149)
Cl (0.407, 0.376, 0.258)
Cl (0.593, 0.624, 0.742)
Cl (0.684, 0.213, 0.851)
Cl (0.759, 0.982, 0.129)
Cl (0.838, 0.549, 0.229)

Most intense lines, 2θ = 15–90°, by angle:
Position (°2θ)  I/Imax
18.04  38
21.88  32
23.33  51
24.63  100
27.13  31
27.68  40
29.81  34
30.85  49
33.44  44
42.80  33

[6]
Simulated powder XRD pattern
Compound: Hg2TePd8
Radiation: Cu Kα X-rays
Structure: a structure optimized by DFT (GGA-PBE)
Peak positions follow from Bragg's law for the DFT cell and can differ from measured ones.

Crystal structure
a b c (Å): 7.977 7.977 5.873
angles (deg): 111.52 111.52 34.33
Atoms (fractional coordinates):
Hg (0.176, 0.176, 0.176)
Hg (0.824, 0.824, 0.824)
Te (0.500, 0.500, 0.500)
Pd (0.000, 0.000, 0.251)
Pd (0.000, 0.000, 0.749)
Pd (0.179, 0.179, 0.679)
Pd (0.350, 0.350, 0.605)
Pd (0.351, 0.351, 0.096)
Pd (0.649, 0.649, 0.904)
Pd (0.650, 0.650, 0.395)
Pd (0.821, 0.821, 0.321)

Most intense lines, 2θ = 15–90°, by angle:
Position (°2θ)  I/Imax
24.26  20
37.21  11
38.23  32
38.37  26
41.01  100
55.28  18
63.34  7
71.00  19
71.18  13
76.47  12